This entry pairs a crystal structure of RbFeIrO6 with its calculated powder X-ray diffraction pattern. Radiation: copper Kα. Structure: a structure optimized by DFT (PBE+U).
Neutral-atom scattering factors, no anomalous dispersion.

Cell and atoms:
a = 5.283 Å, b = 5.283 Å, c = 6.298 Å
α = 90.00°, β = 90.00°, γ = 120.00°
Atoms (fractional coordinates):
Rb 0.000 0.000 0.000
Fe 0.333 0.667 0.500
Ir 0.667 0.333 0.500
O 0.400 0.017 0.672
O 0.400 0.384 0.328
O 0.616 0.017 0.328
O 0.616 0.600 0.672
O 0.983 0.384 0.672
O 0.983 0.600 0.328

The 10 most intense peaks (10° ≤ 2θ ≤ 90°), sorted by position:
| Position (°2θ) | intensity |
| --- | --- |
| 14.06 | 43 |
| 19.40 | 23 |
| 24.04 | 100 |
| 28.34 | 14 |
| 33.94 | 28 |
| 36.90 | 13 |
| 42.02 | 18 |
| 44.78 | 40 |
| 47.66 | 13 |
| 55.07 | 19 |

=====

This entry pairs a crystal structure of Rb2FeIrO4 with its calculated powder X-ray diffraction pattern. Radiation: copper Kα. Structure: a structure optimized by DFT (PBE+U).
Neutral-atom scattering factors, no anomalous dispersion.

Cell and atoms:
a = 12.991 Å, b = 11.950 Å, c = 6.568 Å
α = 83.72°, β = 66.11°, γ = 30.17°
Atoms (fractional coordinates):
Rb 0.036 0.036 0.714
Rb 0.286 0.286 0.964
Rb 0.714 0.714 0.036
Rb 0.964 0.964 0.286
Fe 0.125 0.125 0.125
Fe 0.875 0.875 0.875
Ir 0.375 0.375 0.375
Ir 0.625 0.625 0.625
O 0.090 0.546 0.683
O 0.181 0.683 0.546
O 0.317 0.819 0.910
O 0.454 0.910 0.819
O 0.546 0.090 0.181
O 0.683 0.181 0.090
O 0.819 0.317 0.454
O 0.910 0.454 0.317

The 10 most intense peaks (10° ≤ 2θ ≤ 90°), sorted by position:
| Position (°2θ) | intensity |
| --- | --- |
| 15.30 | 23 |
| 16.91 | 86 |
| 20.47 | 100 |
| 27.64 | 74 |
| 29.77 | 35 |
| 30.41 | 47 |
| 34.20 | 43 |
| 38.58 | 43 |
| 49.90 | 39 |
| 59.45 | 21 |

=====

This entry pairs a crystal structure of SrFeIrO6 with its calculated powder X-ray diffraction pattern. Radiation: copper Kα. Structure: a structure optimized by DFT (PBE+U).
Neutral-atom scattering factors, no anomalous dispersion.

Cell and atoms:
a = 5.255 Å, b = 5.255 Å, c = 5.356 Å
α = 90.00°, β = 90.00°, γ = 120.00°
Atoms (fractional coordinates):
Sr 0.000 0.000 0.000
Fe 0.333 0.667 0.500
Ir 0.667 0.333 0.500
O 0.383 0.013 0.701
O 0.383 0.370 0.299
O 0.630 0.013 0.299
O 0.630 0.617 0.701
O 0.987 0.370 0.701
O 0.987 0.617 0.299

The 10 most intense peaks (10° ≤ 2θ ≤ 90°), sorted by position:
| Position (°2θ) | intensity |
| --- | --- |
| 16.55 | 29 |
| 19.50 | 26 |
| 25.69 | 100 |
| 34.12 | 34 |
| 38.15 | 16 |
| 43.19 | 22 |
| 48.54 | 41 |
| 55.27 | 11 |
| 56.16 | 23 |
| 61.08 | 12 |